Li2MnCuP2O8: calculated powder diffraction line list (a wavelength of 1.5418 Å), based on the PBE+U geometry in the Materials Project.

Structure:
a b c (Å): 4.776 6.147 10.278
angles (deg): 90.00 91.97 90.00
Fractional positions:
Li 0.000 0.000 0.000
Li 0.000 0.500 0.000
Li 0.500 0.000 0.500
Li 0.500 0.500 0.500
Mn 0.021 0.250 0.281
Mn 0.979 0.750 0.719
Cu 0.446 0.250 0.785
Cu 0.554 0.750 0.215
P 0.088 0.750 0.401
P 0.425 0.750 0.912
P 0.575 0.250 0.088
P 0.912 0.250 0.599
O 0.208 0.750 0.544
O 0.217 0.546 0.335
O 0.217 0.954 0.335
O 0.238 0.250 0.607
O 0.254 0.250 0.091
O 0.284 0.550 0.840
O 0.284 0.950 0.840
O 0.310 0.750 0.053
O 0.690 0.250 0.947
O 0.716 0.050 0.160
O 0.716 0.450 0.160
O 0.746 0.750 0.909
O 0.762 0.750 0.393
O 0.783 0.046 0.665
O 0.783 0.454 0.665
O 0.792 0.250 0.456

Main lines, sorted by position (2θ = 10–80°):
d_spacing  2theta  intensity
5.136  17.3  41
4.387  20.2  53
4.273  20.8  26
3.569  25.0  53
3.509  25.4  58
3.074  29.0  100
2.570  34.9  55
2.517  35.7  27
2.500  35.9  72
2.369  38.0  27